The following is a computed powder X-ray diffraction pattern of Ce2Pu4Ge3O2. It was derived from the PBE geometry in Alexandria, using Cu Kα (weighted mean of Kα1 and Kα2).
No peak broadening, texture or thermal motion is included.

Structural model:
Cell lengths 4.6015, 4.6015, 24.3561 Å; angles 90.00, 90.00, 90.00 degrees
Space group I4/mmm (No. 139)
Unique sites:
1 Ce 0.0000 0.0000 0.1999 x4
2 Pu 0.0000 0.5000 0.0814 x8
3 Ge 0.0000 0.0000 0.3273 x4
4 Ge 0.0000 0.0000 0.5000 x2
5 O 0.0000 0.0000 0.1038 x4

The 10 most intense peaks (10 to 80 degrees two-theta), sorted by position:
2theta, I_rel, h k l
14.55, 17.3, 0 0 4
21.90, 22.9, 0 0 6
28.39, 60.4, 1 1 2
29.34, 17.1, 0 0 8
31.17, 23.6, 1 1 4
35.35, 100.0, 1 1 6
39.15, 55.3, 2 0 0
53.19, 19.0, 1 1 12
56.57, 19.1, 2 2 0
68.50, 30.4, 3 1 6

The following is a computed powder X-ray diffraction pattern of Ce2Y4Ge3O2. It was derived from the PBE geometry in Alexandria, using Cu Kα (weighted mean of Kα1 and Kα2).
No peak broadening, texture or thermal motion is included.

Structural model:
Cell lengths 4.5807, 4.5807, 24.1259 Å; angles 90.00, 90.00, 90.00 degrees
Space group I4/mmm (No. 139)
Unique sites:
1 Ce 0.0000 0.0000 0.1983 x4
2 Y 0.0000 0.5000 0.0799 x8
3 Ge 0.0000 0.0000 0.3286 x4
4 Ge 0.0000 0.0000 0.5000 x2
5 O 0.0000 0.0000 0.0950 x4

The 10 most intense peaks (10 to 80 degrees two-theta), sorted by position:
2theta, I_rel, h k l
22.34, 20.5, 1 0 3
28.53, 71.1, 1 1 2
29.62, 23.6, 0 0 8
32.51, 36.8, 1 0 7
35.59, 100.0, 1 1 6
39.34, 71.0, 2 0 0
50.01, 21.6, 2 0 8
51.93, 19.2, 2 1 7
56.85, 23.5, 2 2 0
68.90, 28.4, 3 1 6

The following is a computed powder X-ray diffraction pattern of Ce4Ge5Os2. It was derived from the PBE geometry in Alexandria, using Cu Kα (weighted mean of Kα1 and Kα2).
No peak broadening, texture or thermal motion is included.

Structural model:
Cell lengths 7.1069, 4.1288, 8.3729 Å; angles 90.00, 90.69, 90.00 degrees
Space group P2/m (No. 10)
Unique sites:
1 Ce 0.2216 0.0000 0.3545 x2
2 Ce 0.2447 0.0000 0.8856 x2
3 Ge 0.1193 0.5000 0.6187 x2
4 Ge 0.4346 0.5000 0.1510 x2
5 Ge 0.5000 0.5000 0.5000 x1
6 Os 0.0775 0.5000 0.1309 x2

The 10 most intense peaks (10 to 80 degrees two-theta), sorted by position:
2theta, I_rel, h k l
10.57, 29.6, 0 0 1
12.46, 45.0, 1 0 0
32.87, 86.3, 1 1 -2
33.08, 93.8, 1 1 2
33.27, 100.0, 2 1 0
43.22, 31.2, 0 0 4
43.68, 31.3, 3 0 -2
43.86, 44.3, 0 2 0
44.16, 34.6, 3 0 2
63.99, 22.8, 3 2 2